This entry pairs a crystal structure of Sm2ScBiO6 with its simulated powder diffraction line list. Radiation: Cu Kα, 1.54184 Å. Structure: a GGA-PBE-relaxed structure.
Neutral-atom scattering factors, no anomalous dispersion.

Crystal structure
```
data_Sm2ScBiO6
_chemical_formula_sum 'Sm2 Sc1 Bi1 O6'
_symmetry_space_group_name_H-M 'P 1'
_symmetry_Int_Tables_number 1
_cell_length_a 5.453
_cell_length_b 5.453
_cell_length_c 5.541
_cell_angle_alpha 90.00
_cell_angle_beta 90.00
_cell_angle_gamma 90.00
loop_
_symmetry_equiv_pos_as_xyz
'x,y,z'
loop_
_atom_site_label
_atom_site_type_symbol
_atom_site_fract_x
_atom_site_fract_y
_atom_site_fract_z
Sm1 Sm 0.000 0.500 0.000
Sm2 Sm 0.500 0.000 0.000
Sc1 Sc 0.000 0.000 0.605
Bi1 Bi 0.500 0.500 0.572
O1 O 0.000 0.000 0.246
O2 O 0.241 0.241 0.767
O3 O 0.241 0.759 0.767
O4 O 0.500 0.500 0.160
O5 O 0.759 0.241 0.767
O6 O 0.759 0.759 0.767
```

Main lines, in order of rising 2θ (10° ≤ 2θ ≤ 90°):
2theta, I (rel.)
16.26, 16
28.20, 100
32.85, 34
46.75, 26
47.14, 19
55.84, 30